For AcBi12Pd6, a structure optimized by DFT (GGA-PBE) gives the calculated X-ray diffraction stick pattern in this record (Cu Kα).
Peak positions follow from Bragg's law for the DFT cell and can differ from measured ones.

The 12 most intense peaks (15° ≤ 2θ ≤ 90°), low angle first:
- d 3.125, 2θ 28.6, I = 100
- d 2.872, 2θ 31.1, I = 44
- d 2.714, 2θ 33.0, I = 22
- d 2.525, 2θ 35.6, I = 22
- d 2.474, 2θ 36.3, I = 25
- d 2.371, 2θ 38.0, I = 14
- d 2.202, 2θ 41.0, I = 20
- d 2.132, 2θ 42.4, I = 40
- d 1.682, 2θ 54.6, I = 14
- d 1.678, 2θ 54.7, I = 14
- d 1.645, 2θ 55.9, I = 16
- d 1.512, 2θ 61.3, I = 19

Crystal structure
```
19
Lattice="6.8907 3.9784 3.1590 -6.8907 3.9784 3.1590 0.0000 -7.9567 3.1590" Properties=species:S:1:pos:R:3 pbc="T T T"
Ac 0.0000 0.0000 0.0000
Bi -2.6495 -4.5891 4.7385
Bi -5.2990 0.0000 4.7385
Bi -1.7753 -1.0250 3.1559
Bi 1.7753 -1.0250 3.1559
Bi 0.0000 2.0500 3.1559
Bi 2.6495 -4.5891 4.7385
Bi -2.6495 4.5891 4.7385
Bi 0.0000 -2.0500 6.3210
Bi -1.7753 1.0250 6.3210
Bi 1.7753 1.0250 6.3210
Bi 5.2990 0.0000 4.7385
Bi 2.6495 4.5891 4.7385
Pd -3.3810 -1.9520 5.4668
Pd 0.0000 -3.9041 4.0101
Pd -3.3810 1.9520 4.0101
Pd 3.3810 -1.9520 5.4668
Pd 0.0000 3.9041 5.4668
Pd 3.3810 1.9520 4.0101
```

For Ac2SmAuO6, a structure optimized by DFT (GGA-PBE) gives the calculated X-ray diffraction stick pattern in this record (Cu Kα).
Peak positions follow from Bragg's law for the DFT cell and can differ from measured ones.

The 12 most intense peaks (15° ≤ 2θ ≤ 90°), low angle first:
- d 4.086, 2θ 21.8, I = 10
- d 3.287, 2θ 27.1, I = 100
- d 3.030, 2θ 29.5, I = 10
- d 2.767, 2θ 32.4, I = 40
- d 2.657, 2θ 33.7, I = 9
- d 2.517, 2θ 35.7, I = 8
- d 2.396, 2θ 37.5, I = 24
- d 2.043, 2θ 44.3, I = 18
- d 1.956, 2θ 46.4, I = 20
- d 1.681, 2θ 54.6, I = 30
- d 1.515, 2θ 61.2, I = 13
- d 1.145, 2θ 84.6, I = 9

Crystal structure
```
10
Lattice="5.5335 0.0000 0.0000 0.0000 5.5335 0.0000 0.0000 0.0000 6.0593" Properties=species:S:1:pos:R:3 pbc="T T T"
Ac 0.0000 2.7667 0.0000
Ac 2.7667 0.0000 0.0000
Sm 0.0000 0.0000 3.2322
Au 2.7667 2.7667 4.1194
O 0.0000 0.0000 0.9687
O 1.3604 1.3604 4.3945
O 1.3604 4.1731 4.3945
O 2.7667 2.7667 0.7569
O 4.1731 1.3604 4.3945
O 4.1731 4.1731 4.3945
```

For NaP2Pt, a structure optimized by DFT (GGA-PBE) gives the calculated X-ray diffraction stick pattern in this record (Cu Kα).
Peak positions follow from Bragg's law for the DFT cell and can differ from measured ones.

The 12 most intense peaks (15° ≤ 2θ ≤ 90°), low angle first:
- d 4.608, 2θ 19.3, I = 100
- d 3.675, 2θ 24.2, I = 45
- d 2.873, 2θ 31.1, I = 38
- d 2.599, 2θ 34.5, I = 40
- d 2.571, 2θ 34.9, I = 63
- d 1.927, 2θ 47.2, I = 25
- d 1.837, 2θ 49.6, I = 13
- d 1.828, 2θ 49.9, I = 44
- d 1.707, 2θ 53.7, I = 14
- d 1.691, 2θ 54.2, I = 14
- d 1.643, 2θ 55.9, I = 15
- d 1.296, 2θ 73.0, I = 14

Crystal structure
```
8
Lattice="-3.6749 3.6749 2.9579 3.6749 -3.6749 2.9579 3.6749 3.6749 -2.9579" Properties=species:S:1:pos:R:3 pbc="T T T"
Na 0.0000 0.0000 0.0000
Na 0.0000 3.6749 1.4789
P 1.8375 2.4467 -0.7395
P 4.9031 1.8375 0.7395
P 1.8375 1.2282 2.2184
P -1.2282 1.8375 3.6974
Pt 3.6749 0.0000 1.4789
Pt 0.0000 0.0000 2.9579
```

For TcB3W, a structure optimized by DFT (GGA-PBE) gives the calculated X-ray diffraction stick pattern in this record (Cu Kα).
Peak positions follow from Bragg's law for the DFT cell and can differ from measured ones.

The 12 most intense peaks (15° ≤ 2θ ≤ 90°), low angle first:
- d 3.293, 2θ 27.1, I = 89
- d 3.103, 2θ 28.8, I = 16
- d 2.529, 2θ 35.5, I = 97
- d 2.327, 2θ 38.7, I = 33
- d 2.106, 2θ 43.0, I = 100
- d 2.082, 2θ 43.5, I = 58
- d 1.919, 2θ 47.4, I = 29
- d 1.673, 2θ 54.9, I = 19
- d 1.395, 2θ 67.1, I = 31
- d 1.370, 2θ 68.5, I = 14
- d 1.350, 2θ 69.6, I = 25
- d 1.220, 2θ 78.4, I = 20

Crystal structure
```
10
Lattice="1.6726 -9.3096 0.0000 1.6726 9.3096 0.0000 0.0000 0.0000 3.0124" Properties=species:S:1:pos:R:3 pbc="T T T"
Tc 1.6726 5.6178 2.2593
Tc 1.6726 -5.6178 0.7531
B 1.6726 3.2886 2.2593
B 1.6726 2.2586 0.7531
B 1.6726 0.4505 0.7531
B 1.6726 -0.4505 2.2593
B 1.6726 -2.2586 2.2593
B 1.6726 -3.2886 0.7531
W 1.6726 7.9690 0.7531
W 1.6726 -7.9690 2.2593
```

For BaNiHgPb2, a structure optimized by DFT (GGA-PBE) gives the calculated X-ray diffraction stick pattern in this record (Cu Kα).
Peak positions follow from Bragg's law for the DFT cell and can differ from measured ones.

The 12 most intense peaks (15° ≤ 2θ ≤ 90°), low angle first:
- d 3.106, 2θ 28.7, I = 100
- d 2.987, 2θ 29.9, I = 32
- d 2.571, 2θ 34.9, I = 43
- d 1.949, 2θ 46.6, I = 39
- d 1.818, 2θ 50.2, I = 16
- d 1.746, 2θ 52.4, I = 20
- d 1.569, 2θ 58.9, I = 28
- d 1.553, 2θ 59.5, I = 19
- d 1.291, 2θ 73.3, I = 10
- d 1.260, 2θ 75.5, I = 14
- d 1.181, 2θ 81.5, I = 8
- d 1.154, 2θ 83.8, I = 7

Crystal structure
```
5
Lattice="5.1426 0.0000 0.0000 0.0000 5.1426 0.0000 0.0000 0.0000 5.9735" Properties=species:S:1:pos:R:3 pbc="T T T"
Ba 0.0000 0.0000 0.0000
Ni 0.0000 0.0000 2.9868
Hg 2.5713 2.5713 0.0000
Pb 0.0000 2.5713 2.9868
Pb 2.5713 0.0000 2.9868
```

For Sc2Al3Ag2, a structure optimized by DFT (GGA-PBE) gives the calculated X-ray diffraction stick pattern in this record (Cu Kα).
Peak positions follow from Bragg's law for the DFT cell and can differ from measured ones.

The 12 most intense peaks (15° ≤ 2θ ≤ 90°), low angle first:
- d 4.963, 2θ 17.9, I = 19
- d 3.712, 2θ 24.0, I = 37
- d 2.972, 2θ 30.1, I = 29
- d 2.832, 2θ 31.6, I = 42
- d 2.448, 2θ 36.7, I = 61
- d 2.397, 2θ 37.5, I = 100
- d 2.312, 2θ 39.0, I = 41
- d 2.242, 2θ 40.2, I = 50
- d 2.096, 2θ 43.2, I = 53
- d 1.861, 2θ 48.9, I = 24
- d 1.758, 2θ 52.0, I = 19
- d 1.258, 2θ 75.6, I = 23

Crystal structure
```
14
Lattice="2.2420 -9.9254 0.0000 2.2420 9.9254 0.0000 0.0000 0.0000 5.9097" Properties=species:S:1:pos:R:3 pbc="T T T"
Sc 2.2420 9.5635 4.4323
Sc 2.2420 7.1179 1.4774
Sc 2.2420 -7.1179 4.4323
Sc 2.2420 -9.5635 1.4774
Al 2.2420 6.5793 4.4323
Al 2.2420 1.4116 3.0521
Al 2.2420 1.4116 5.8124
Al 2.2420 -1.4116 0.0973
Al 2.2420 -1.4116 2.8576
Al 2.2420 -6.5793 1.4774
Ag 2.2420 4.1340 5.9072
Ag 2.2420 4.1340 2.9574
Ag 2.2420 -4.1340 0.0025
Ag 2.2420 -4.1340 2.9523
```

Please write out number 3 again, unchanged.
For NaP2Pt, a structure optimized by DFT (GGA-PBE) gives the calculated X-ray diffraction stick pattern in this record (Cu Kα).
Peak positions follow from Bragg's law for the DFT cell and can differ from measured ones.

The 12 most intense peaks (15° ≤ 2θ ≤ 90°), low angle first:
- d 4.608, 2θ 19.3, I = 100
- d 3.675, 2θ 24.2, I = 45
- d 2.873, 2θ 31.1, I = 38
- d 2.599, 2θ 34.5, I = 40
- d 2.571, 2θ 34.9, I = 63
- d 1.927, 2θ 47.2, I = 25
- d 1.837, 2θ 49.6, I = 13
- d 1.828, 2θ 49.9, I = 44
- d 1.707, 2θ 53.7, I = 14
- d 1.691, 2θ 54.2, I = 14
- d 1.643, 2θ 55.9, I = 15
- d 1.296, 2θ 73.0, I = 14

Crystal structure
```
8
Lattice="-3.6749 3.6749 2.9579 3.6749 -3.6749 2.9579 3.6749 3.6749 -2.9579" Properties=species:S:1:pos:R:3 pbc="T T T"
Na 0.0000 0.0000 0.0000
Na 0.0000 3.6749 1.4789
P 1.8375 2.4467 -0.7395
P 4.9031 1.8375 0.7395
P 1.8375 1.2282 2.2184
P -1.2282 1.8375 3.6974
Pt 3.6749 0.0000 1.4789
Pt 0.0000 0.0000 2.9579
```